(1)
Structure and theoretical PXRD pattern of TbPaIr2 (a PBE-relaxed structure; Cu Ka).

Main lines, low angle first (15 to 90 degrees two-theta):
d = 2.757 Å, 32.47°, intensity 86
d = 2.730 Å, 32.81°, intensity 87
d = 2.638 Å, 33.98°, intensity 100
d = 2.480 Å, 36.22°, intensity 91
d = 2.460 Å, 36.53°, intensity 93
d = 2.137 Å, 42.30°, intensity 82

Crystal structure
```
data_TbPaIr2
_chemical_formula_sum 'Tb4 Pa4 Ir8'
_space_group_name_H-M_alt 'P 1'
_space_group_IT_number 1
_space_group_name_Hall 'P 1'
_cell_length_a 8.547
_cell_length_b 5.677
_cell_length_c 7.156
_cell_angle_alpha 90.00
_cell_angle_beta 90.58
_cell_angle_gamma 90.00
loop_
_atom_site_label
_atom_site_type_symbol
_atom_site_fract_x
_atom_site_fract_y
_atom_site_fract_z
Tb1 Tb 0.120 0.148 0.179
Tb2 Tb 0.120 0.352 0.679
Tb3 Tb 0.880 0.648 0.321
Tb4 Tb 0.880 0.852 0.821
Pa1 Pa 0.371 0.658 0.322
Pa2 Pa 0.371 0.842 0.822
Pa3 Pa 0.629 0.158 0.178
Pa4 Pa 0.629 0.342 0.678
Ir1 Ir 0.141 0.653 0.048
Ir2 Ir 0.141 0.847 0.548
Ir3 Ir 0.389 0.185 0.441
Ir4 Ir 0.389 0.315 0.941
Ir5 Ir 0.611 0.685 0.059
Ir6 Ir 0.611 0.815 0.559
Ir7 Ir 0.859 0.153 0.452
Ir8 Ir 0.859 0.347 0.952
```

(2)
Structure and theoretical PXRD pattern of Ir10Pb (a PBE-relaxed structure; Cu Ka).

Main lines, low angle first (15 to 90 degrees two-theta):
d = 2.275 Å, 39.61°, intensity 100
d = 2.258 Å, 39.92°, intensity 55
d = 2.221 Å, 40.61°, intensity 96
d = 2.158 Å, 41.85°, intensity 45
d = 1.936 Å, 46.94°, intensity 53
d = 1.162 Å, 83.12°, intensity 33

Crystal structure
```
data_Ir10Pb
_chemical_formula_sum 'Ir20 Pb2'
_space_group_name_H-M_alt 'P 1'
_space_group_IT_number 1
_space_group_name_Hall 'P 1'
_cell_length_a 4.726
_cell_length_b 4.726
_cell_length_c 32.716
_cell_angle_alpha 90.01
_cell_angle_beta 90.01
_cell_angle_gamma 48.39
loop_
_atom_site_label
_atom_site_type_symbol
_atom_site_fract_x
_atom_site_fract_y
_atom_site_fract_z
Ir1 Ir 0.047 0.047 0.276
Ir2 Ir 0.050 0.050 0.540
Ir3 Ir 0.148 0.148 0.619
Ir4 Ir 0.152 0.152 0.354
Ir5 Ir 0.249 0.249 0.699
Ir6 Ir 0.250 0.250 0.434
Ir7 Ir 0.349 0.349 0.250
Ir8 Ir 0.350 0.350 0.513
Ir9 Ir 0.450 0.450 0.593
Ir10 Ir 0.451 0.451 0.328
Ir11 Ir 0.549 0.549 0.672
Ir12 Ir 0.550 0.550 0.407
Ir13 Ir 0.650 0.650 0.487
Ir14 Ir 0.651 0.651 0.750
Ir15 Ir 0.750 0.750 0.566
Ir16 Ir 0.751 0.751 0.301
Ir17 Ir 0.848 0.848 0.646
Ir18 Ir 0.852 0.852 0.381
Ir19 Ir 0.950 0.950 0.460
Ir20 Ir 0.953 0.953 0.724
Pb1 Pb 0.352 0.352 0.791
Pb2 Pb 0.648 0.648 0.209
```

(3)
Structure and theoretical PXRD pattern of Ir17Pb (a PBE-relaxed structure; Cu Ka).

Main lines, low angle first (15 to 90 degrees two-theta):
d = 2.272 Å, 39.67°, intensity 29
d = 2.227 Å, 40.51°, intensity 100
d = 1.993 Å, 45.52°, intensity 21
d = 1.929 Å, 47.12°, intensity 45
d = 1.364 Å, 68.85°, intensity 32
d = 1.163 Å, 83.02°, intensity 27

Crystal structure
```
data_Ir17Pb
_chemical_formula_sum 'Ir34 Pb2'
_space_group_name_H-M_alt 'P 1'
_space_group_IT_number 1
_space_group_name_Hall 'P 1'
_cell_length_a 5.452
_cell_length_b 5.452
_cell_length_c 33.441
_cell_angle_alpha 90.00
_cell_angle_beta 90.00
_cell_angle_gamma 120.00
loop_
_atom_site_label
_atom_site_type_symbol
_atom_site_fract_x
_atom_site_fract_y
_atom_site_fract_z
Ir1 Ir 0.000 0.000 0.000
Ir2 Ir 0.000 0.000 0.202
Ir3 Ir 0.000 0.000 0.798
Ir4 Ir 0.000 0.500 0.000
Ir5 Ir 0.002 0.501 0.201
Ir6 Ir 0.167 0.333 0.134
Ir7 Ir 0.167 0.333 0.734
Ir8 Ir 0.167 0.334 0.933
Ir9 Ir 0.167 0.833 0.134
Ir10 Ir 0.167 0.833 0.734
Ir11 Ir 0.167 0.833 0.933
Ir12 Ir 0.333 0.167 0.266
Ir13 Ir 0.333 0.167 0.866
Ir14 Ir 0.333 0.667 0.067
Ir15 Ir 0.333 0.667 0.866
Ir16 Ir 0.334 0.167 0.067
Ir17 Ir 0.499 0.501 0.201
Ir18 Ir 0.499 0.998 0.201
Ir19 Ir 0.500 0.000 0.000
Ir20 Ir 0.500 0.500 0.000
Ir21 Ir 0.501 0.002 0.799
Ir22 Ir 0.501 0.499 0.799
Ir23 Ir 0.666 0.833 0.933
Ir24 Ir 0.667 0.333 0.134
Ir25 Ir 0.667 0.333 0.933
Ir26 Ir 0.667 0.833 0.134
Ir27 Ir 0.667 0.833 0.734
Ir28 Ir 0.833 0.167 0.067
Ir29 Ir 0.833 0.167 0.266
Ir30 Ir 0.833 0.167 0.866
Ir31 Ir 0.833 0.666 0.067
Ir32 Ir 0.833 0.667 0.266
Ir33 Ir 0.833 0.667 0.866
Ir34 Ir 0.998 0.499 0.799
Pb1 Pb 0.333 0.667 0.298
Pb2 Pb 0.667 0.333 0.702
```

(4)
Structure and theoretical PXRD pattern of Pr3Sn2IrPt2Pb (a PBE-relaxed structure; Cu Ka).

Main lines, low angle first (15 to 90 degrees two-theta):
d = 2.823 Å, 31.69°, intensity 79
d = 2.606 Å, 34.42°, intensity 100
d = 2.596 Å, 34.55°, intensity 28
d = 2.227 Å, 40.51°, intensity 33
d = 2.153 Å, 41.97°, intensity 42
d = 2.082 Å, 43.46°, intensity 37

Crystal structure
```
data_Pr3Sn2IrPt2Pb
_chemical_formula_sum 'Pr3 Sn2 Ir1 Pt2 Pb1'
_space_group_name_H-M_alt 'P 1'
_space_group_IT_number 1
_space_group_name_Hall 'P 1'
_cell_length_a 4.165
_cell_length_b 7.682
_cell_length_c 7.682
_cell_angle_alpha 119.58
_cell_angle_beta 90.00
_cell_angle_gamma 90.00
loop_
_atom_site_label
_atom_site_type_symbol
_atom_site_fract_x
_atom_site_fract_y
_atom_site_fract_z
Pr1 Pr 0.000 0.000 0.000
Pr2 Pr 0.000 0.181 0.592
Pr3 Pr 0.000 0.592 0.181
Sn1 Sn 0.500 0.592 0.840
Sn2 Sn 0.500 0.840 0.592
Ir1 Ir 0.000 0.603 0.603
Pt1 Pt 0.500 0.255 0.914
Pt2 Pt 0.500 0.914 0.255
Pb1 Pb 0.500 0.340 0.340
```

(5)
Structure and theoretical PXRD pattern of Ta2SnIr2Pb (a PBE-relaxed structure; Cu Ka).

Main lines, low angle first (15 to 90 degrees two-theta):
d = 3.623 Å, 24.57°, intensity 31
d = 3.137 Å, 28.45°, intensity 11
d = 2.218 Å, 40.67°, intensity 100
d = 1.892 Å, 48.09°, intensity 16
d = 1.569 Å, 58.87°, intensity 17
d = 1.281 Å, 74.00°, intensity 29

Crystal structure
```
data_Ta2SnIr2Pb
_chemical_formula_sum 'Ta8 Sn4 Ir8 Pb4'
_space_group_name_H-M_alt 'P 1'
_space_group_IT_number 1
_space_group_name_Hall 'P 1'
_cell_length_a 10.868
_cell_length_b 4.434
_cell_length_c 10.877
_cell_angle_alpha 90.00
_cell_angle_beta 109.48
_cell_angle_gamma 90.00
loop_
_atom_site_label
_atom_site_type_symbol
_atom_site_fract_x
_atom_site_fract_y
_atom_site_fract_z
Ta1 Ta 0.000 0.000 0.000
Ta2 Ta 0.124 0.500 0.371
Ta3 Ta 0.250 0.000 0.747
Ta4 Ta 0.374 0.500 0.122
Ta5 Ta 0.498 0.000 0.495
Ta6 Ta 0.625 0.500 0.875
Ta7 Ta 0.751 0.000 0.246
Ta8 Ta 0.876 0.500 0.620
Sn1 Sn 0.249 0.000 0.246
Sn2 Sn 0.500 0.000 0.998
Sn3 Sn 0.875 0.500 0.122
Sn4 Sn 0.999 0.000 0.495
Ir1 Ir 0.001 0.000 0.743
Ir2 Ir 0.123 0.500 0.125
Ir3 Ir 0.246 0.000 0.493
Ir4 Ir 0.379 0.500 0.876
Ir5 Ir 0.495 0.000 0.243
Ir6 Ir 0.624 0.500 0.621
Ir7 Ir 0.751 0.000 0.002
Ir8 Ir 0.878 0.500 0.371
Pb1 Pb 0.125 0.500 0.873
Pb2 Pb 0.374 0.500 0.622
Pb3 Pb 0.625 0.500 0.371
Pb4 Pb 0.751 0.000 0.749
```

(6)
Structure and theoretical PXRD pattern of Pr2Sn4IrPd (a PBE-relaxed structure; Cu Ka).

Main lines, low angle first (15 to 90 degrees two-theta):
d = 3.219 Å, 27.71°, intensity 54
d = 2.924 Å, 30.58°, intensity 85
d = 2.866 Å, 31.20°, intensity 100
d = 2.613 Å, 34.32°, intensity 55
d = 2.314 Å, 38.92°, intensity 64
d = 2.112 Å, 42.83°, intensity 45

Crystal structure
```
data_Pr2Sn4IrPd
_chemical_formula_sum 'Pr2 Sn4 Ir1 Pd1'
_space_group_name_H-M_alt 'P 1'
_space_group_IT_number 1
_space_group_name_Hall 'P 1'
_cell_length_a 4.573
_cell_length_b 4.628
_cell_length_c 9.692
_cell_angle_alpha 90.00
_cell_angle_beta 101.54
_cell_angle_gamma 90.00
loop_
_atom_site_label
_atom_site_type_symbol
_atom_site_fract_x
_atom_site_fract_y
_atom_site_fract_z
Pr1 Pr 0.000 0.000 0.000
Pr2 Pr 0.304 0.500 0.454
Sn1 Sn 0.390 0.000 0.728
Sn2 Sn 0.507 0.500 0.152
Sn3 Sn 0.793 0.000 0.311
Sn4 Sn 0.904 0.500 0.724
Ir1 Ir 0.824 0.000 0.582
Pd1 Pd 0.473 0.500 0.880
```

(7)
Structure and theoretical PXRD pattern of Pr3Sn4Ir2Pd2 (a PBE-relaxed structure; Cu Ka).

Main lines, low angle first (15 to 90 degrees two-theta):
d = 2.846 Å, 31.43°, intensity 45
d = 2.826 Å, 31.66°, intensity 100
d = 2.560 Å, 35.06°, intensity 24
d = 2.307 Å, 39.04°, intensity 38
d = 2.106 Å, 42.94°, intensity 29
d = 1.792 Å, 50.96°, intensity 23

Crystal structure
```
data_Pr3Sn4Ir2Pd2
_chemical_formula_sum 'Pr3 Sn4 Ir2 Pd2'
_space_group_name_H-M_alt 'P 1'
_space_group_IT_number 1
_space_group_name_Hall 'P 1'
_cell_length_a 13.866
_cell_length_b 13.866
_cell_length_c 13.866
_cell_angle_alpha 162.53
_cell_angle_beta 160.85
_cell_angle_gamma 26.04
loop_
_atom_site_label
_atom_site_type_symbol
_atom_site_fract_x
_atom_site_fract_y
_atom_site_fract_z
Pr1 Pr 0.000 0.000 0.000
Pr2 Pr 0.347 0.847 0.500
Pr3 Pr 0.653 0.153 0.500
Sn1 Sn 0.195 0.695 0.500
Sn2 Sn 0.447 0.447 0.000
Sn3 Sn 0.553 0.553 0.000
Sn4 Sn 0.805 0.305 0.500
Ir1 Ir 0.253 0.253 0.000
Ir2 Ir 0.747 0.747 0.000
Pd1 Pd 0.098 0.598 0.500
Pd2 Pd 0.902 0.402 0.500
```

(8)
Structure and theoretical PXRD pattern of IrPdPt (a PBE-relaxed structure; Cu Ka).

Main lines, low angle first (15 to 90 degrees two-theta):
d = 2.266 Å, 39.79°, intensity 100
d = 1.964 Å, 46.21°, intensity 33
d = 1.957 Å, 46.39°, intensity 16
d = 1.387 Å, 67.55°, intensity 26
d = 1.185 Å, 81.17°, intensity 13
d = 1.181 Å, 81.49°, intensity 13

Crystal structure
```
data_IrPdPt
_chemical_formula_sum 'Ir4 Pd4 Pt4'
_space_group_name_H-M_alt 'P 1'
_space_group_IT_number 1
_space_group_name_Hall 'P 1'
_cell_length_a 5.563
_cell_length_b 3.915
_cell_length_c 8.324
_cell_angle_alpha 90.00
_cell_angle_beta 90.00
_cell_angle_gamma 90.00
loop_
_atom_site_label
_atom_site_type_symbol
_atom_site_fract_x
_atom_site_fract_y
_atom_site_fract_z
Ir1 Ir 0.123 0.250 0.247
Ir2 Ir 0.377 0.750 0.747
Ir3 Ir 0.623 0.250 0.253
Ir4 Ir 0.877 0.750 0.753
Pd1 Pd 0.126 0.250 0.583
Pd2 Pd 0.374 0.750 0.083
Pd3 Pd 0.626 0.250 0.917
Pd4 Pd 0.874 0.750 0.417
Pt1 Pt 0.127 0.250 0.913
Pt2 Pt 0.373 0.750 0.413
Pt3 Pt 0.627 0.250 0.587
Pt4 Pt 0.873 0.750 0.087
```

(9)
Structure and theoretical PXRD pattern of Y2Si4IrPd (a PBE-relaxed structure; Cu Ka).

Main lines, low angle first (15 to 90 degrees two-theta):
d = 2.963 Å, 30.17°, intensity 52
d = 2.901 Å, 30.82°, intensity 100
d = 2.603 Å, 34.45°, intensity 32
d = 2.594 Å, 34.57°, intensity 62
d = 2.104 Å, 42.99°, intensity 32
d = 1.692 Å, 54.21°, intensity 38

Crystal structure
```
data_Y2Si4IrPd
_chemical_formula_sum 'Y2 Si4 Ir1 Pd1'
_space_group_name_H-M_alt 'P 1'
_space_group_IT_number 1
_space_group_name_Hall 'P 1'
_cell_length_a 4.208
_cell_length_b 8.594
_cell_length_c 8.594
_cell_angle_alpha 27.77
_cell_angle_beta 90.00
_cell_angle_gamma 90.00
loop_
_atom_site_label
_atom_site_type_symbol
_atom_site_fract_x
_atom_site_fract_y
_atom_site_fract_z
Y1 Y 0.000 0.000 0.000
Y2 Y 0.500 0.208 0.208
Si1 Si 0.000 0.357 0.357
Si2 Si 0.000 0.637 0.637
Si3 Si 0.500 0.567 0.567
Si4 Si 0.500 0.853 0.853
Ir1 Ir 0.500 0.426 0.426
Pd1 Pd 0.000 0.778 0.778
```

(10)
Structure and theoretical PXRD pattern of Sm3Sn3Ir2Pd (a PBE-relaxed structure; Cu Ka).

Main lines, low angle first (15 to 90 degrees two-theta):
d = 2.769 Å, 32.33°, intensity 100
d = 2.549 Å, 35.20°, intensity 99
d = 2.469 Å, 36.39°, intensity 44
d = 2.177 Å, 41.47°, intensity 43
d = 2.112 Å, 42.82°, intensity 30
d = 1.407 Å, 66.47°, intensity 32

Crystal structure
```
data_Sm3Sn3Ir2Pd
_chemical_formula_sum 'Sm3 Sn3 Ir2 Pd1'
_space_group_name_H-M_alt 'P 1'
_space_group_IT_number 1
_space_group_name_Hall 'P 1'
_cell_length_a 7.542
_cell_length_b 7.542
_cell_length_c 4.078
_cell_angle_alpha 90.00
_cell_angle_beta 90.00
_cell_angle_gamma 120.00
loop_
_atom_site_label
_atom_site_type_symbol
_atom_site_fract_x
_atom_site_fract_y
_atom_site_fract_z
Sm1 Sm 0.000 0.413 0.000
Sm2 Sm 0.413 0.000 0.000
Sm3 Sm 0.587 0.587 0.000
Sn1 Sn 0.000 0.742 0.500
Sn2 Sn 0.258 0.258 0.500
Sn3 Sn 0.742 0.000 0.500
Ir1 Ir 0.333 0.667 0.500
Ir2 Ir 0.667 0.333 0.500
Pd1 Pd 0.000 0.000 0.000
```